[1]
Starting from a GGA-PBE-relaxed structure, the powder diffraction line list of NaScP2H2O8 was calculated for Cu Kα, 1.54184 Å.
Kinematic intensities with the Lorentz-polarization factor, no thermal factor.

Peak list (10 most intense, 10° ≤ 2θ ≤ 80°, by intensity)
| two_theta | d/Å | I/Imax |
| --- | --- | --- |
| 15.7 | 5.643 | 100 |
| 23.4 | 3.803 | 91 |
| 25.4 | 3.505 | 80 |
| 30.1 | 2.967 | 78 |
| 22.8 | 3.903 | 70 |
| 29.6 | 3.018 | 51 |
| 27.5 | 3.246 | 39 |
| 31.7 | 2.821 | 28 |
| 34.0 | 2.635 | 26 |
| 31.1 | 2.875 | 23 |

Structure:
Unit cell a=9.7850 b=9.7850 c=9.2148 alpha=107.00 beta=107.00 gamma=114.77
Fractional coordinates of all 56 atoms:
Na: 0.1748 0.8252 0.5000
Na: 0.2543 0.6281 0.9308
Na: 0.6281 0.2543 0.4308
Na: 0.8252 0.1748 0.0000
Sc: 0.1760 0.9057 0.1375
Sc: 0.4512 0.6769 0.6675
Sc: 0.6769 0.4512 0.1675
Sc: 0.9057 0.1760 0.6375
P: 0.0071 0.4558 0.4567
P: 0.3418 0.3731 0.8039
P: 0.3731 0.3418 0.3039
P: 0.4558 0.0071 0.9567
P: 0.4758 0.8579 0.3891
P: 0.8579 0.4758 0.8891
P: 0.8790 0.8812 0.2847
P: 0.8812 0.8790 0.7847
H: 0.1404 0.3728 0.3413
H: 0.1569 0.1718 0.0477
H: 0.1718 0.1569 0.5477
H: 0.3728 0.1404 0.8413
H: 0.5572 0.7108 0.2456
H: 0.6927 0.8175 0.0356
H: 0.7108 0.5572 0.7456
H: 0.8175 0.6927 0.5356
O: 0.0202 0.3445 0.3004
O: 0.0247 0.8713 0.2634
O: 0.0286 0.6439 0.9594
O: 0.0344 0.9553 0.9607
O: 0.1709 0.3370 0.7990
O: 0.1926 0.6054 0.5945
O: 0.2304 0.2983 0.1285
O: 0.2983 0.2304 0.6285
O: 0.3188 0.8668 0.3199
O: 0.3370 0.1709 0.2990
O: 0.3422 0.9184 0.0269
O: 0.3445 0.0202 0.8004
O: 0.3536 0.4486 0.4468
O: 0.4428 0.5544 0.8248
O: 0.4486 0.3536 0.9468
O: 0.4536 0.7162 0.2256
O: 0.4746 0.8004 0.5261
O: 0.5218 0.9018 0.8806
O: 0.5544 0.4428 0.3248
O: 0.6054 0.1926 0.0945
O: 0.6439 0.0286 0.4594
O: 0.7105 0.7413 0.7622
O: 0.7162 0.4536 0.7256
O: 0.7413 0.7105 0.2622
O: 0.7866 0.9210 0.1444
O: 0.8004 0.4746 0.0261
O: 0.8668 0.3188 0.8199
O: 0.8713 0.0247 0.7634
O: 0.9018 0.5218 0.3806
O: 0.9184 0.3422 0.5269
O: 0.9210 0.7866 0.6444
O: 0.9553 0.0344 0.4607

=====

[2]
Starting from a GGA-PBE-relaxed structure, the powder diffraction line list of Na4PH5Se3O16 was calculated for Cu Kα, 1.54184 Å.
Kinematic intensities with the Lorentz-polarization factor, no thermal factor.

Peak list (10 most intense, 10° ≤ 2θ ≤ 80°, by intensity)
| two_theta | d/Å | I/Imax |
| --- | --- | --- |
| 22.3 | 3.995 | 100 |
| 25.4 | 3.512 | 63 |
| 25.0 | 3.565 | 53 |
| 27.4 | 3.257 | 52 |
| 23.5 | 3.785 | 40 |
| 27.6 | 3.235 | 39 |
| 32.9 | 2.725 | 32 |
| 29.8 | 2.995 | 31 |
| 27.2 | 3.282 | 30 |
| 29.0 | 3.084 | 29 |

Structure:
Unit cell a=7.1925 b=7.2185 c=7.2520 alpha=80.20 beta=84.51 gamma=80.19
Fractional coordinates of all 29 atoms:
Na: 0.0000 0.0000 0.0000
Na: 0.0623 0.5857 0.3431
Na: 0.3809 0.6452 0.8132
Na: 0.6763 0.9467 0.4623
P: 0.5852 0.5123 0.3764
H: 0.0370 0.2811 0.6661
H: 0.3112 0.2646 0.1311
H: 0.4162 0.7280 0.1718
H: 0.5258 0.3182 0.6402
H: 0.7535 0.3265 0.1921
Se: 0.1551 0.0493 0.4658
Se: 0.5085 0.0642 0.9583
Se: 0.9197 0.5390 0.8712
O: 0.0128 0.9393 0.3693
O: 0.0314 0.1275 0.6636
O: 0.0409 0.4667 0.6758
O: 0.0585 0.6591 0.9641
O: 0.2038 0.2484 0.3297
O: 0.3461 0.9010 0.5336
O: 0.3526 0.9117 0.0011
O: 0.3768 0.2847 0.9979
O: 0.4087 0.6026 0.2548
O: 0.4871 0.4561 0.5770
O: 0.5820 0.1136 0.7347
O: 0.6684 0.3136 0.3155
O: 0.6781 0.0011 0.1023
O: 0.7165 0.6761 0.8189
O: 0.7274 0.6426 0.3649
O: 0.8879 0.3370 0.0152

=====

What did the first record say?
Starting from a GGA-PBE-relaxed structure, the powder diffraction line list of NaScP2H2O8 was calculated for Cu Kα, 1.54184 Å.
Kinematic intensities with the Lorentz-polarization factor, no thermal factor.

Peak list (10 most intense, 10° ≤ 2θ ≤ 80°, by intensity)
| two_theta | d/Å | I/Imax |
| --- | --- | --- |
| 15.7 | 5.643 | 100 |
| 23.4 | 3.803 | 91 |
| 25.4 | 3.505 | 80 |
| 30.1 | 2.967 | 78 |
| 22.8 | 3.903 | 70 |
| 29.6 | 3.018 | 51 |
| 27.5 | 3.246 | 39 |
| 31.7 | 2.821 | 28 |
| 34.0 | 2.635 | 26 |
| 31.1 | 2.875 | 23 |

Structure:
Unit cell a=9.7850 b=9.7850 c=9.2148 alpha=107.00 beta=107.00 gamma=114.77
Fractional coordinates of all 56 atoms:
Na: 0.1748 0.8252 0.5000
Na: 0.2543 0.6281 0.9308
Na: 0.6281 0.2543 0.4308
Na: 0.8252 0.1748 0.0000
Sc: 0.1760 0.9057 0.1375
Sc: 0.4512 0.6769 0.6675
Sc: 0.6769 0.4512 0.1675
Sc: 0.9057 0.1760 0.6375
P: 0.0071 0.4558 0.4567
P: 0.3418 0.3731 0.8039
P: 0.3731 0.3418 0.3039
P: 0.4558 0.0071 0.9567
P: 0.4758 0.8579 0.3891
P: 0.8579 0.4758 0.8891
P: 0.8790 0.8812 0.2847
P: 0.8812 0.8790 0.7847
H: 0.1404 0.3728 0.3413
H: 0.1569 0.1718 0.0477
H: 0.1718 0.1569 0.5477
H: 0.3728 0.1404 0.8413
H: 0.5572 0.7108 0.2456
H: 0.6927 0.8175 0.0356
H: 0.7108 0.5572 0.7456
H: 0.8175 0.6927 0.5356
O: 0.0202 0.3445 0.3004
O: 0.0247 0.8713 0.2634
O: 0.0286 0.6439 0.9594
O: 0.0344 0.9553 0.9607
O: 0.1709 0.3370 0.7990
O: 0.1926 0.6054 0.5945
O: 0.2304 0.2983 0.1285
O: 0.2983 0.2304 0.6285
O: 0.3188 0.8668 0.3199
O: 0.3370 0.1709 0.2990
O: 0.3422 0.9184 0.0269
O: 0.3445 0.0202 0.8004
O: 0.3536 0.4486 0.4468
O: 0.4428 0.5544 0.8248
O: 0.4486 0.3536 0.9468
O: 0.4536 0.7162 0.2256
O: 0.4746 0.8004 0.5261
O: 0.5218 0.9018 0.8806
O: 0.5544 0.4428 0.3248
O: 0.6054 0.1926 0.0945
O: 0.6439 0.0286 0.4594
O: 0.7105 0.7413 0.7622
O: 0.7162 0.4536 0.7256
O: 0.7413 0.7105 0.2622
O: 0.7866 0.9210 0.1444
O: 0.8004 0.4746 0.0261
O: 0.8668 0.3188 0.8199
O: 0.8713 0.0247 0.7634
O: 0.9018 0.5218 0.3806
O: 0.9184 0.3422 0.5269
O: 0.9210 0.7866 0.6444
O: 0.9553 0.0344 0.4607